Entry 1:
This entry pairs a crystal structure of Cs2DyBr6 with its theoretical X-ray diffraction stick pattern. Radiation: copper Kα. Structure: a cell relaxed with GGA-PBE.
Intensities are scaled so that the largest is 100.

Atomic structure:
a b c (Å): 7.9721 7.9721 12.9837
angles (deg): 90.00 90.00 120.00
Space group P6_3mc (No. 186)
Inequivalent atoms, fractional coordinates:
Cs (0.0000, 0.0000, 0.0000) (multiplicity 2)
Cs (0.3333, 0.6667, 0.2557) (multiplicity 2)
Dy (0.3333, 0.6667, 0.6335) (multiplicity 2)
Br (0.0052, 0.5026, 0.5074) (multiplicity 6)
Br (0.1644, 0.3288, 0.7524) (multiplicity 6)

The 12 most intense peaks (2θ = 10–90°), by angle:
hkl 1 0 1, 2θ 14.53, I 22
hkl 1 1 0, 2θ 22.30, I 19
hkl 2 0 1, 2θ 26.72, I 23
hkl 0 0 4, 2θ 27.48, I 21
hkl 2 0 2, 2θ 29.30, I 100
hkl 2 0 3, 2θ 33.20, I 40
hkl 2 0 5, 2θ 43.62, I 20
hkl 2 2 0, 2θ 45.51, I 37
hkl 2 0 6, 2θ 49.72, I 23
hkl 2 2 4, 2θ 53.99, I 18
hkl 4 0 2, 2θ 55.06, I 17
hkl 2 2 8, 2θ 75.55, I 16

Entry 2:
This entry pairs a crystal structure of Ba2Pt3O8 with its theoretical X-ray diffraction stick pattern. Radiation: copper Kα. Structure: a cell relaxed with GGA-PBE.
Intensities are scaled so that the largest is 100.

Atomic structure:
a b c (Å): 12.3689 6.4727 5.5276
angles (deg): 90.00 110.16 90.00
Space group C2/m (No. 12)
Inequivalent atoms, fractional coordinates:
Ba (0.2174, 0.0000, 0.1697) (multiplicity 4)
Pt (0.0000, 0.2485, 0.5000) (multiplicity 4)
Pt (0.0000, 0.5000, 0.0000) (multiplicity 2)
O (0.0843, 0.5000, 0.3981) (multiplicity 4)
O (0.0916, 0.0000, 0.4515) (multiplicity 4)
O (0.0936, 0.2807, 0.8862) (multiplicity 8)

The 12 most intense peaks (2θ = 10–90°), by angle:
hkl 2 0 0, 2θ 15.26, I 79
hkl 1 1 1, 2θ 25.17, I 54
hkl 3 1 0, 2θ 26.84, I 32
hkl 3 1 -1, 2θ 27.26, I 54
hkl 4 0 0, 2θ 30.80, I 43
hkl 2 2 0, 2θ 31.65, I 33
hkl 2 0 -2, 2θ 32.60, I 100
hkl 2 2 -1, 2θ 33.46, I 51
hkl 4 2 -1, 2θ 40.91, I 34
hkl 4 2 1, 2θ 49.69, I 37
hkl 6 2 -1, 2θ 52.66, I 32
hkl 2 2 -3, 2θ 57.62, I 27